# Rb2CoSbBr6
Computed PXRD pattern, Cu Ka. Input: the PBE geometry in Alexandria.
Peak positions follow from Bragg's law for the DFT cell and can differ from measured ones.

Atomic structure:
a = 10.924 Å, b = 10.924 Å, c = 10.924 Å
α = 90.00°, β = 90.00°, γ = 90.00°
Space group Fm-3m (No. 225)
Inequivalent atoms, fractional coordinates:
Rb1 0.250 0.250 0.250 [8 per cell]
Co1 0.000 0.000 0.000 [4 per cell]
Sb1 0.000 0.000 0.500 [4 per cell]
Br1 0.000 0.000 0.239 [24 per cell]

Most intense lines, 5 to 70 degrees two-theta, by intensity:
d (Å), 2θ (°), intensity
2.731, 32.79, 100
1.931, 47.06, 70
3.153, 28.30, 64
3.862, 23.03, 26
1.647, 55.82, 26
5.462, 16.23, 25
1.577, 58.54, 24
2.443, 36.79, 12
2.230, 40.45, 11
1.366, 68.74, 11

---

# Rb2CoSeBr6
Computed PXRD pattern, Cu Ka. Input: the PBE geometry in Alexandria.
Peak positions follow from Bragg's law for the DFT cell and can differ from measured ones.

Atomic structure:
a = 7.720 Å, b = 7.720 Å, c = 10.659 Å
α = 90.00°, β = 90.00°, γ = 90.00°
Space group I4/mmm (No. 139)
Inequivalent atoms, fractional coordinates:
Rb1 0.000 0.500 0.250 [4 per cell]
Co1 0.000 0.000 0.000 [2 per cell]
Se1 0.000 0.000 0.500 [2 per cell]
Br1 0.000 0.000 0.253 [4 per cell]
Br2 0.225 0.225 0.000 [8 per cell]

Most intense lines, 5 to 70 degrees two-theta, by intensity:
d (Å), 2θ (°), intensity
3.126, 28.55, 100
2.730, 32.81, 81
1.907, 47.70, 55
2.665, 33.63, 41
1.930, 47.08, 26
1.563, 59.10, 26
1.642, 55.99, 25
3.813, 23.33, 16
5.459, 16.24, 16
1.614, 57.07, 14

---

# RbSrCoBr5
Computed PXRD pattern, Cu Ka. Input: the PBE geometry in Alexandria.
Peak positions follow from Bragg's law for the DFT cell and can differ from measured ones.

Atomic structure:
a = 9.832 Å, b = 12.985 Å, c = 10.764 Å
α = 90.00°, β = 113.71°, γ = 90.00°
Space group C2/c (No. 15)
Inequivalent atoms, fractional coordinates:
Rb1 0.000 0.148 0.250 [4 per cell]
Sr1 0.000 0.500 0.000 [4 per cell]
Co1 0.000 0.184 0.750 [4 per cell]
Br1 0.000 0.406 0.250 [4 per cell]
Br2 0.119 0.287 0.636 [8 per cell]
Br3 0.171 0.074 0.926 [8 per cell]

Most intense lines, 5 to 70 degrees two-theta, by intensity:
d (Å), 2θ (°), intensity
3.429, 25.99, 100
3.922, 22.67, 74
4.920, 18.03, 70
3.456, 25.78, 57
2.589, 34.64, 52
4.501, 19.72, 48
2.146, 42.11, 44
3.161, 28.23, 43
2.577, 34.82, 40
1.869, 48.72, 36

---

# RbZnCo2Br8
Computed PXRD pattern, Cu Ka. Input: the PBE geometry in Alexandria.
Peak positions follow from Bragg's law for the DFT cell and can differ from measured ones.

Atomic structure:
a = 6.6717 Å, b = 6.6717 Å, c = 29.6944 Å
α = 90.00°, β = 90.00°, γ = 120.00°
Space group R-3 (No. 148, hexagonal axes)
Inequivalent atoms, fractional coordinates:
Rb1 0.0000 0.0000 0.0000 [3 per cell]
Zn1 0.0000 0.0000 0.5000 [3 per cell]
Co1 0.0000 0.0000 0.2428 [6 per cell]
Br1 0.0000 0.0000 0.3212 [6 per cell]
Br2 0.0016 0.3229 0.5529 [18 per cell]

Most intense lines, 5 to 70 degrees two-theta, by intensity:
d (Å), 2θ (°), intensity
3.161, 28.23, 100
2.766, 32.36, 76
1.926, 47.19, 48
1.987, 45.65, 47
3.299, 27.02, 41
4.560, 19.47, 36
1.663, 55.22, 31
1.580, 58.39, 15
1.645, 55.90, 14
1.383, 67.75, 14